No. 1
The following is a calculated XRD peak list of Sb5IO7. It was derived from a cell relaxed with PBE, using Cu Kα (weighted mean of Kα1 and Kα2).
Neutral-atom scattering factors, no anomalous dispersion.

Atomic structure:
a b c (Å): 7.3168 12.3106 13.8345
angles (deg): 90.00 104.22 90.00
Element x y z (fractional)
Sb 0.0000 0.1745 0.0000
Sb 0.0000 0.8255 0.5000
Sb 0.0562 0.2272 0.5572
Sb 0.0562 0.7728 0.0572
Sb 0.2993 0.4142 0.9786
Sb 0.2993 0.5858 0.4786
Sb 0.3817 0.2776 0.4008
Sb 0.3817 0.7224 0.9008
Sb 0.4114 0.2043 0.8232
Sb 0.4114 0.7957 0.3232
Sb 0.4514 0.0389 0.0533
Sb 0.4514 0.9611 0.5533
Sb 0.6210 0.2658 0.6616
Sb 0.6210 0.7342 0.1616
Sb 0.6634 0.3065 0.1531
Sb 0.6634 0.6935 0.6531
Sb 0.7029 0.0552 0.3712
Sb 0.7029 0.9448 0.8712
Sb 0.7631 0.4348 0.3967
Sb 0.7631 0.5652 0.8967
I 0.0791 0.0918 0.2038
I 0.0791 0.9082 0.7038
I 0.9669 0.4418 0.7218
I 0.9669 0.5582 0.2218
O 0.0850 0.3250 0.0037
O 0.0850 0.6750 0.5037
O 0.2217 0.1081 0.9664
O 0.2217 0.8919 0.4664
O 0.3253 0.2390 0.5386
O 0.3253 0.7610 0.0386
O 0.4441 0.4054 0.1181
O 0.4441 0.5946 0.6181
O 0.4746 0.3008 0.9451
O 0.4747 0.3376 0.7437
O 0.4747 0.6624 0.2437
O 0.4746 0.6992 0.4451
O 0.5327 0.1629 0.1452
O 0.5327 0.8371 0.6452
O 0.5397 0.1466 0.4321
O 0.5397 0.8534 0.9321
O 0.5820 0.3793 0.4759
O 0.5820 0.6207 0.9759
O 0.5876 0.0713 0.9428
O 0.5876 0.9287 0.4428
O 0.6295 0.1471 0.7650
O 0.6295 0.8529 0.2650
O 0.6501 0.3188 0.2974
O 0.6501 0.6812 0.7974
O 0.9421 0.0998 0.4708
O 0.9421 0.9002 0.9708
O 0.9881 0.3441 0.4570
O 0.9881 0.6559 0.9570

Top 6 peaks for 10 to 90 degrees two-theta, by intensity:
| 2theta | I (rel.) |
| --- | --- |
| 25.01 | 100.0 |
| 29.28 | 43.3 |
| 26.46 | 32.9 |
| 25.13 | 32.3 |
| 29.83 | 29.9 |
| 30.25 | 24.5 |

---

No. 2
The following is a calculated XRD peak list of Sb4I2O5. It was derived from a cell relaxed with PBE, using Cu Kα (weighted mean of Kα1 and Kα2).
Neutral-atom scattering factors, no anomalous dispersion.

Atomic structure:
a b c (Å): 7.0903 5.2985 13.9712
angles (deg): 90.00 95.78 90.00
Element x y z (fractional)
Sb 0.1643 0.2215 0.0475
Sb 0.1643 0.2785 0.5475
Sb 0.1801 0.6077 0.2954
Sb 0.1801 0.8923 0.7954
Sb 0.8199 0.1077 0.2046
Sb 0.8199 0.3923 0.7046
Sb 0.8357 0.7215 0.4525
Sb 0.8357 0.7785 0.9525
I 0.4998 0.2036 0.3819
I 0.4998 0.2964 0.8819
I 0.5002 0.7036 0.1181
I 0.5002 0.7964 0.6181
O 0.0000 0.0000 0.5000
O 0.0000 0.5000 0.0000
O 0.0655 0.0044 0.9189
O 0.0655 0.4956 0.4189
O 0.0669 0.1736 0.7109
O 0.0669 0.3264 0.2109
O 0.9331 0.6736 0.7891
O 0.9331 0.8264 0.2891
O 0.9345 0.5044 0.5811
O 0.9345 0.9956 0.0811

Top 6 peaks for 10 to 90 degrees two-theta, by intensity:
| 2theta | I (rel.) |
| --- | --- |
| 25.27 | 100.0 |
| 27.45 | 53.6 |
| 32.08 | 48.5 |
| 42.59 | 26.2 |
| 22.30 | 25.1 |
| 38.13 | 21.8 |

---

No. 3
The following is a calculated XRD peak list of Sb5IO7. It was derived from a cell relaxed with PBE, using Cu Kα (weighted mean of Kα1 and Kα2).
Neutral-atom scattering factors, no anomalous dispersion.

Atomic structure:
a b c (Å): 7.0694 13.2347 13.4886
angles (deg): 90.00 116.05 90.00
Element x y z (fractional)
Sb 0.0000 0.2161 0.0000
Sb 0.0000 0.7839 0.5000
Sb 0.0188 0.0516 0.2169
Sb 0.0188 0.9484 0.7169
Sb 0.0337 0.2571 0.5668
Sb 0.0337 0.7429 0.0668
Sb 0.2626 0.2731 0.3442
Sb 0.2626 0.7269 0.8442
Sb 0.2783 0.2450 0.8700
Sb 0.2783 0.7550 0.3700
Sb 0.3665 0.0535 0.5419
Sb 0.3665 0.9465 0.0419
Sb 0.3801 0.4361 0.5855
Sb 0.3801 0.5639 0.0855
Sb 0.6748 0.2598 0.2115
Sb 0.6748 0.7402 0.7115
Sb 0.7151 0.2329 0.7173
Sb 0.7151 0.7671 0.2173
Sb 0.9036 0.4323 0.1340
Sb 0.9036 0.5677 0.6340
I 0.6121 0.4771 0.3899
I 0.6121 0.5229 0.8899
I 0.6131 0.0023 0.3239
I 0.6131 0.9977 0.8239
O 0.0033 0.2269 0.7152
O 0.0033 0.7731 0.2152
O 0.0932 0.3321 0.1175
O 0.0932 0.6679 0.6175
O 0.1187 0.3272 0.9262
O 0.1187 0.6728 0.4262
O 0.1583 0.1240 0.1394
O 0.1583 0.8760 0.6394
O 0.1666 0.1312 0.3673
O 0.1666 0.8688 0.8673
O 0.1983 0.1361 0.9462
O 0.1983 0.8639 0.4462
O 0.2128 0.1347 0.6067
O 0.2128 0.8653 0.1067
O 0.2403 0.3598 0.6653
O 0.2403 0.6402 0.1653
O 0.2557 0.3149 0.4847
O 0.2557 0.6851 0.9847
O 0.5967 0.1563 0.5745
O 0.5967 0.8437 0.0745
O 0.6329 0.3527 0.0871
O 0.6329 0.6473 0.5871
O 0.6631 0.3721 0.6545
O 0.6631 0.6279 0.1545
O 0.7751 0.1481 0.1518
O 0.7751 0.8519 0.6518
O 0.9630 0.3338 0.2788
O 0.9630 0.6662 0.7788

Top 6 peaks for 10 to 90 degrees two-theta, by intensity:
| 2theta | I (rel.) |
| --- | --- |
| 28.73 | 100.0 |
| 27.89 | 75.0 |
| 29.76 | 62.1 |
| 23.80 | 29.0 |
| 24.35 | 27.8 |
| 26.95 | 27.7 |

---

No. 4
The following is a calculated XRD peak list of Sb5IO7. It was derived from a cell relaxed with PBE, using Cu Kα (weighted mean of Kα1 and Kα2).
Neutral-atom scattering factors, no anomalous dispersion.

Atomic structure:
a b c (Å): 6.9494 13.1261 13.5904
angles (deg): 90.00 119.64 90.00
Element x y z (fractional)
Sb 0.0383 0.2413 0.4345
Sb 0.0383 0.2587 0.9345
Sb 0.3187 0.5543 0.5751
Sb 0.3187 0.9457 0.0751
Sb 0.3311 0.2417 0.2410
Sb 0.3311 0.2583 0.7410
Sb 0.3351 0.5569 0.0811
Sb 0.3351 0.9431 0.5811
Sb 0.3580 0.7361 0.4072
Sb 0.3580 0.7639 0.9072
Sb 0.6420 0.2361 0.0928
Sb 0.6420 0.2639 0.5928
Sb 0.6649 0.0569 0.4189
Sb 0.6649 0.4431 0.9189
Sb 0.6689 0.7417 0.2590
Sb 0.6689 0.7583 0.7590
Sb 0.6813 0.0543 0.9249
Sb 0.6813 0.4457 0.4249
Sb 0.9617 0.7413 0.0655
Sb 0.9617 0.7587 0.5655
I 0.0646 0.5047 0.7562
I 0.0646 0.9953 0.2562
I 0.9354 0.0047 0.7438
I 0.9354 0.4953 0.2438
O 0.0322 0.6193 0.0037
O 0.0322 0.8807 0.5037
O 0.0950 0.6684 0.4969
O 0.0950 0.8316 0.9969
O 0.3335 0.2500 0.0861
O 0.3335 0.2500 0.5861
O 0.4202 0.6425 0.2213
O 0.4202 0.8575 0.7213
O 0.4799 0.6350 0.7172
O 0.4799 0.8650 0.2172
O 0.4846 0.6715 0.0423
O 0.4846 0.8285 0.5423
O 0.4878 0.6140 0.5041
O 0.4878 0.8860 0.0041
O 0.5122 0.1140 0.9959
O 0.5122 0.3860 0.4959
O 0.5154 0.1715 0.4577
O 0.5154 0.3285 0.9577
O 0.5201 0.1350 0.7828
O 0.5201 0.3650 0.2828
O 0.5798 0.1425 0.2787
O 0.5798 0.3575 0.7787
O 0.6665 0.7500 0.4139
O 0.6665 0.7500 0.9139
O 0.9050 0.1684 0.0031
O 0.9050 0.3316 0.5031
O 0.9678 0.1193 0.4963
O 0.9678 0.3807 0.9963

Top 6 peaks for 10 to 90 degrees two-theta, by intensity:
| 2theta | I (rel.) |
| --- | --- |
| 29.21 | 100.0 |
| 27.14 | 98.5 |
| 29.08 | 84.3 |
| 29.61 | 74.2 |
| 25.31 | 67.8 |
| 26.54 | 44.5 |

---

No. 5
The following is a calculated XRD peak list of Sb5IO7. It was derived from a cell relaxed with PBE, using Cu Kα (weighted mean of Kα1 and Kα2).
Neutral-atom scattering factors, no anomalous dispersion.

Atomic structure:
a b c (Å): 7.5913 13.7418 13.4267
angles (deg): 90.00 116.42 90.00
Element x y z (fractional)
Sb 0.0000 0.0054 0.5000
Sb 0.0000 0.9946 0.0000
Sb 0.2452 0.2038 0.6729
Sb 0.2452 0.7962 0.1729
Sb 0.4878 0.0239 0.0737
Sb 0.4878 0.9761 0.5737
Sb 0.5709 0.2584 0.4645
Sb 0.5709 0.7416 0.9645
Sb 0.6028 0.2583 0.9752
Sb 0.6028 0.7417 0.4752
Sb 0.6087 0.4939 0.6166
Sb 0.6087 0.5061 0.1166
Sb 0.6865 0.4910 0.3841
Sb 0.6865 0.5090 0.8841
Sb 0.7247 0.2069 0.2503
Sb 0.7247 0.7931 0.7503
Sb 0.7831 0.2424 0.7718
Sb 0.7831 0.7576 0.2718
Sb 0.9843 0.4155 0.2827
Sb 0.9843 0.5845 0.7827
I 0.1188 0.0080 0.7403
I 0.1188 0.9920 0.2403
I 0.1868 0.4526 0.7184
I 0.1868 0.5474 0.2184
O 0.1718 0.1187 0.5289
O 0.1718 0.8813 0.0289
O 0.2129 0.0801 0.0037
O 0.2129 0.9199 0.5037
O 0.3561 0.2496 0.8471
O 0.3561 0.7504 0.3471
O 0.5203 0.1762 0.6981
O 0.5203 0.8238 0.1981
O 0.5449 0.0945 0.2160
O 0.5449 0.9055 0.7160
O 0.5842 0.2924 0.1141
O 0.5842 0.7076 0.6141
O 0.6061 0.2882 0.3271
O 0.6061 0.7118 0.8271
O 0.6438 0.1224 0.0331
O 0.6438 0.8776 0.5331
O 0.6689 0.3757 0.7290
O 0.6689 0.6243 0.2290
O 0.6798 0.4053 0.9917
O 0.6798 0.5947 0.4917
O 0.6913 0.4048 0.5163
O 0.6913 0.5952 0.0163
O 0.7978 0.1838 0.5482
O 0.7978 0.8162 0.0482
O 0.8092 0.2390 0.9275
O 0.8092 0.7610 0.4275
O 0.9720 0.4717 0.4179
O 0.9720 0.5283 0.9179

Top 6 peaks for 10 to 90 degrees two-theta, by intensity:
| 2theta | I (rel.) |
| --- | --- |
| 29.62 | 100.0 |
| 27.04 | 67.2 |
| 25.94 | 56.3 |
| 23.69 | 54.1 |
| 18.36 | 42.6 |
| 13.02 | 35.0 |